# 1
Structure and simulated powder XRD pattern of RbP2H5O8 (a cell relaxed with PBE; copper Kα).
Lines closer than 0.1° are merged.

Largest 8 diffraction maxima, in order of rising 2θ, 2θ from 5° to 70°:
2θ 22.93, I = 1000; 2θ 24.82, I = 814; 2θ 28.29, I = 790; 2θ 32.64, I = 250; 2θ 36.28, I = 278; 2θ 39.08, I = 157; 2θ 43.70, I = 216; 2θ 45.95, I = 142

Atomic structure:
```
RbP2H5O8
1.0
5.2699 -3.8834 0.0000
5.2699 3.8834 0.0000
-1.7867 0.0000 9.4976
Rb P H O
2 4 10 16
direct
0.0000 0.0000 0.0000
0.0000 0.0000 0.5000
0.2683 0.3685 0.7992
0.3685 0.2683 0.2992
0.6315 0.7317 0.7008
0.7317 0.6315 0.2008
0.0771 0.5572 0.1728
0.2919 0.3893 0.5130
0.3078 0.6922 0.7500
0.3893 0.2919 0.0130
0.4428 0.9229 0.3272
0.5572 0.0771 0.6728
0.6107 0.7081 0.9870
0.6922 0.3078 0.2500
0.7081 0.6107 0.4870
0.9229 0.4428 0.8272
0.0559 0.3105 0.8186
0.2188 0.6160 0.8210
0.2576 0.4433 0.4171
0.2693 0.3535 0.1589
0.3105 0.0559 0.3186
0.3535 0.2693 0.6589
0.3840 0.7812 0.6790
0.4433 0.2576 0.9171
0.5567 0.7424 0.0829
0.6160 0.2188 0.3210
0.6465 0.7307 0.3411
0.6895 0.9441 0.6814
0.7307 0.6465 0.8411
0.7424 0.5567 0.5829
0.7812 0.3840 0.1790
0.9441 0.6895 0.1814
```

# 2
Structure and simulated powder XRD pattern of Ce2Al2Co15 (a cell relaxed with PBE; copper Kα).
Lines closer than 0.1° are merged.

Largest 8 diffraction maxima, in order of rising 2θ, 2θ from 5° to 70°:
2θ 30.57, I = 338; 2θ 37.34, I = 296; 2θ 38.44, I = 396; 2θ 43.39, I = 584; 2θ 43.58, I = 1000; 2θ 44.17, I = 334; 2θ 44.36, I = 187; 2θ 49.00, I = 279

Atomic structure:
```
Ce2Al2Co15
1.0
4.1713 2.4083 4.1009
-4.1713 2.4083 4.1009
0.0000 -4.8166 4.1009
Ce Al Co
2 2 15
direct
0.1457 0.1457 0.1457
0.8543 0.8543 0.8543
0.3945 0.3945 0.3945
0.6055 0.6055 0.6055
0.0000 0.5000 0.5000
0.1488 0.1488 0.6467
0.1488 0.6467 0.1488
0.2141 0.5000 0.7859
0.2141 0.7859 0.5000
0.3533 0.8512 0.8512
0.5000 0.0000 0.5000
0.5000 0.2141 0.7859
0.5000 0.5000 0.0000
0.5000 0.7859 0.2141
0.6467 0.1488 0.1488
0.7859 0.2141 0.5000
0.7859 0.5000 0.2141
0.8512 0.3533 0.8512
0.8512 0.8512 0.3533
```